(1)
The following is a simulated X-ray powder pattern of Ba3Nb2CoO9. It was derived from a structure optimized by DFT (PBE+U), using CuKα.
Peak positions follow from Bragg's law for the DFT cell and can differ from measured ones.

Structural model:
```
Ba3Nb2CoO9
1.0
5.1077 -2.9103 0.0000
5.1077 2.9103 0.0000
-0.1662 0.0000 7.2043
Ba Nb Co O
3 2 1 9
direct
0.0000 0.0000 0.0000 Ba
0.3319 0.3319 0.6656 Ba
0.6681 0.6681 0.3344 Ba
0.3352 0.3352 0.1780 Nb
0.6648 0.6648 0.8220 Nb
0.0000 0.0000 0.5000 Co
0.0000 0.5000 0.0000 O
0.1726 0.6642 0.3255 O
0.1780 0.1780 0.3252 O
0.3358 0.8274 0.6745 O
0.5000 0.0000 0.0000 O
0.5000 0.5000 0.0000 O
0.6642 0.1726 0.3255 O
0.8220 0.8220 0.6748 O
0.8274 0.3358 0.6745 O
```

Principal peaks in the range 10 to 80 degrees two-theta, by angle:
d [Å]  I_rel
2.950  100
2.939  99
2.911  96
2.106  33
2.059  61
1.706  20
1.689  38
1.685  38



(2)
The following is a simulated X-ray powder pattern of Ba8Nb6CoO24. It was derived from a structure optimized by DFT (PBE+U), using CuKα.
Peak positions follow from Bragg's law for the DFT cell and can differ from measured ones.

Structural model:
```
Ba8Nb6CoO24
1.0
5.8755 0.0000 0.0000
-2.9377 5.0883 0.0000
0.0000 0.0000 19.2069
Ba Nb Co O
8 6 1 24
direct
0.0000 0.0000 0.1859 Ba
0.0000 0.0000 0.8141 Ba
0.3333 0.6667 0.0616 Ba
0.3333 0.6667 0.4558 Ba
0.3333 0.6667 0.6827 Ba
0.6667 0.3333 0.3173 Ba
0.6667 0.3333 0.5442 Ba
0.6667 0.3333 0.9384 Ba
0.0000 0.0000 0.3852 Nb
0.0000 0.0000 0.6148 Nb
0.3333 0.6667 0.2531 Nb
0.3333 0.6667 0.8792 Nb
0.6667 0.3333 0.1208 Nb
0.6667 0.3333 0.7469 Nb
0.0000 0.0000 0.0000 Co
0.0022 0.5011 0.1867 O
0.1640 0.3281 0.5705 O
0.1640 0.8360 0.5705 O
0.1688 0.3377 0.3071 O
0.1688 0.8312 0.3071 O
0.1720 0.3440 0.9349 O
0.1720 0.8280 0.9349 O
0.3281 0.1640 0.4295 O
0.3377 0.1688 0.6929 O
0.3440 0.1720 0.0651 O
0.4989 0.5011 0.1867 O
0.4989 0.9978 0.1867 O
0.5011 0.0022 0.8133 O
0.5011 0.4989 0.8133 O
0.6560 0.8280 0.9349 O
0.6623 0.8312 0.3071 O
0.6719 0.8360 0.5705 O
0.8280 0.1720 0.0651 O
0.8280 0.6560 0.0651 O
0.8312 0.1688 0.6929 O
0.8312 0.6623 0.6929 O
0.8360 0.1640 0.4295 O
0.8360 0.6719 0.4295 O
0.9978 0.4989 0.8133 O
```

Principal peaks in the range 10 to 80 degrees two-theta, by angle:
d [Å]  I_rel
3.066  99
2.938  100
2.121  55
1.797  13
1.720  36
1.696  20
1.469  20
1.325  16



(3)
The following is a simulated X-ray powder pattern of BaPrNbCoO6. It was derived from a structure optimized by DFT (PBE+U), using CuKα.
Peak positions follow from Bragg's law for the DFT cell and can differ from measured ones.

Structural model:
```
BaPrNbCoO6
1.0
0.0000 4.0696 4.0696
4.0696 0.0000 4.0696
4.0696 4.0696 0.0000
Ba Pr Nb Co O
1 1 1 1 6
direct
0.0000 0.0000 0.0000 Ba
0.5000 0.5000 0.5000 Pr
0.2500 0.2500 0.2500 Nb
0.7500 0.7500 0.7500 Co
0.0018 0.0018 0.4982 O
0.0018 0.4982 0.0018 O
0.0018 0.4982 0.4982 O
0.4982 0.0018 0.0018 O
0.4982 0.0018 0.4982 O
0.4982 0.4982 0.0018 O
```

Principal peaks in the range 10 to 80 degrees two-theta, by angle:
d [Å]  I_rel
4.070  4
2.878  100
2.350  11
2.035  32
1.661  39
1.439  19
1.287  17
1.227  3



(4)
The following is a simulated X-ray powder pattern of Ba2Nd2Co4O11. It was derived from a structure optimized by DFT (PBE+U), using CuKα.
Peak positions follow from Bragg's law for the DFT cell and can differ from measured ones.

Structural model:
```
Ba2Nd2Co4O11
1.0
-2.8165 2.8165 7.6823
2.8165 -2.8165 7.6823
2.8165 2.8165 -7.6823
Ba Nd Co O
2 2 4 11
direct
0.2500 0.7500 0.5000 Ba
0.7500 0.2500 0.5000 Ba
0.0000 0.5000 0.5000 Nd
0.5000 0.0000 0.5000 Nd
0.1211 0.1211 0.0000 Co
0.3777 0.3777 0.0000 Co
0.6223 0.6223 0.0000 Co
0.8789 0.8789 0.0000 Co
0.0000 0.0000 0.0000 O
0.1600 0.1600 0.5280 O
0.1600 0.6320 0.0000 O
0.2386 0.2386 0.0000 O
0.3680 0.3680 0.5280 O
0.3680 0.8400 0.0000 O
0.6320 0.1600 0.0000 O
0.6320 0.6320 0.4720 O
0.7614 0.7614 0.0000 O
0.8400 0.3680 0.0000 O
0.8400 0.8400 0.4720 O
```

Principal peaks in the range 10 to 80 degrees two-theta, by angle:
d [Å]  I_rel
3.983  13
2.817  48
2.765  100
2.271  21
1.992  31
1.616  39
1.587  20
1.382  15



(5)
The following is a simulated X-ray powder pattern of BaNd2CoO5. It was derived from a structure optimized by DFT (PBE+U), using CuKα.
Peak positions follow from Bragg's law for the DFT cell and can differ from measured ones.

Structural model:
```
BaNd2CoO5
1.0
-1.8859 3.0088 6.0415
1.8859 -3.0088 6.0415
1.8859 3.0088 -6.0415
Ba Nd Co O
1 2 1 5
direct
0.0000 0.0000 0.0000 Ba
0.2964 0.7964 0.5000 Nd
0.7036 0.2036 0.5000 Nd
0.5000 0.5000 0.0000 Co
0.1080 0.3528 0.7552 O
0.4023 0.6472 0.7552 O
0.5000 0.0000 0.5000 O
0.5977 0.3528 0.2448 O
0.8920 0.6472 0.2448 O
```

Principal peaks in the range 10 to 80 degrees two-theta, by angle:
d [Å]  I_rel
3.347  34
3.009  32
2.825  100
2.309  14
2.132  18
2.034  24
1.699  22
1.686  17



(6)
The following is a simulated X-ray powder pattern of Ba2Nd2Co4O11. It was derived from a structure optimized by DFT (PBE+U), using CuKα.
Peak positions follow from Bragg's law for the DFT cell and can differ from measured ones.

Structural model:
```
Ba2Nd2Co4O11
1.0
3.9522 0.0000 0.0000
0.0000 8.0057 0.0000
0.0000 0.0000 7.6582
Ba Nd Co O
2 2 4 11
direct
0.0000 0.2448 0.0000 Ba
0.0000 0.7552 0.0000 Ba
0.0000 0.2670 0.4959 Nd
0.0000 0.7330 0.4959 Nd
0.5000 0.0000 0.2615 Co
0.5000 0.0000 0.7363 Co
0.5000 0.5000 0.2501 Co
0.5000 0.5000 0.7488 Co
0.0000 0.0000 0.3106 O
0.0000 0.0000 0.6889 O
0.0000 0.5000 0.2706 O
0.0000 0.5000 0.7323 O
0.5000 0.0000 0.9958 O
0.5000 0.2263 0.7076 O
0.5000 0.2361 0.2920 O
0.5000 0.5000 0.0102 O
0.5000 0.5000 0.4978 O
0.5000 0.7639 0.2920 O
0.5000 0.7737 0.7076 O
```

Principal peaks in the range 10 to 80 degrees two-theta, by angle:
d [Å]  I_rel
2.812  96
2.767  100
2.750  100
2.267  42
1.976  31
1.618  37
1.608  39
1.583  39



(7)
The following is a simulated X-ray powder pattern of Ba2Nd2Co4O11. It was derived from a structure optimized by DFT (PBE+U), using CuKα.
Peak positions follow from Bragg's law for the DFT cell and can differ from measured ones.

Structural model:
```
Ba2Nd2Co4O11
1.0
3.8419 0.0000 0.0000
0.0000 7.9190 0.0000
0.0000 0.0000 7.9597
Ba Nd Co O
2 2 4 11
direct
0.0000 0.0000 0.2428 Ba
0.0000 0.0000 0.7572 Ba
0.0000 0.5000 0.2672 Nd
0.0000 0.5000 0.7328 Nd
0.5000 0.2494 0.5000 Co
0.5000 0.2592 0.0000 Co
0.5000 0.7408 0.0000 Co
0.5000 0.7506 0.5000 Co
0.0000 0.2677 0.5000 O
0.0000 0.3166 0.0000 O
0.0000 0.6834 0.0000 O
0.0000 0.7323 0.5000 O
0.5000 0.0000 0.0000 O
0.5000 0.0000 0.5000 O
0.5000 0.2911 0.2371 O
0.5000 0.2911 0.7629 O
0.5000 0.5000 0.5000 O
0.5000 0.7089 0.2371 O
0.5000 0.7089 0.7629 O
```

Principal peaks in the range 10 to 80 degrees two-theta, by angle:
d [Å]  I_rel
2.807  53
2.761  100
2.266  22
1.990  16
1.921  15
1.614  19
1.610  22
1.585  19



(8)
The following is a simulated X-ray powder pattern of Ba4Sr2Nd2Co4O15. It was derived from a structure optimized by DFT (PBE+U), using CuKα.
Peak positions follow from Bragg's law for the DFT cell and can differ from measured ones.

Structural model:
```
Ba4Sr2Nd2Co4O15
1.0
5.9043 -10.2248 0.0000
5.9043 10.2248 0.0000
-0.0637 0.0000 6.9314
Ba Sr Nd Co O
8 4 4 8 30
direct
0.0824 0.4302 0.4995 Ba
0.0860 0.9140 0.5000 Ba
0.4302 0.0824 0.9995 Ba
0.4311 0.6025 0.9946 Ba
0.5896 0.9216 0.3202 Ba
0.6025 0.4311 0.4946 Ba
0.9140 0.0860 0.0000 Ba
0.9216 0.5896 0.8202 Ba
0.2572 0.2574 0.3168 Sr
0.2574 0.2572 0.8168 Sr
0.3072 0.7833 0.6595 Sr
0.7833 0.3072 0.1595 Sr
0.2087 0.7344 0.1600 Nd
0.7335 0.7814 0.6632 Nd
0.7344 0.2087 0.6600 Nd
0.7814 0.7335 0.1632 Nd
0.0833 0.4329 0.9906 Co
0.0839 0.9093 0.9934 Co
0.4291 0.6072 0.4880 Co
0.4329 0.0833 0.4906 Co
0.5897 0.9233 0.8646 Co
0.6072 0.4291 0.9880 Co
0.9093 0.0839 0.4934 Co
0.9233 0.5897 0.3646 Co
0.0074 0.7633 0.1667 O
0.0146 0.5094 0.1649 O
0.0780 0.1619 0.5755 O
0.0855 0.6726 0.4863 O
0.1594 0.3408 0.0783 O
0.1619 0.0780 0.0755 O
0.1906 0.8618 0.8700 O
0.1920 0.5857 0.8640 O
0.3180 0.9290 0.3468 O
0.3221 0.6486 0.3486 O
0.3408 0.1594 0.5783 O
0.3526 0.4409 0.5782 O
0.4253 0.8397 0.0035 O
0.4409 0.3526 0.0782 O
0.5094 0.0146 0.6649 O
0.5128 0.7552 0.6637 O
0.5857 0.1920 0.3640 O
0.5904 0.6526 0.3608 O
0.6486 0.3221 0.8486 O
0.6526 0.5904 0.8608 O
0.6726 0.0855 0.9863 O
0.6735 0.8381 0.9987 O
0.7552 0.5128 0.1637 O
0.7633 0.0074 0.6667 O
0.8381 0.6735 0.4987 O
0.8397 0.4253 0.5035 O
0.8618 0.1906 0.3700 O
0.8625 0.9227 0.3650 O
0.9227 0.8625 0.8650 O
0.9290 0.3180 0.8468 O
```

Principal peaks in the range 10 to 80 degrees two-theta, by angle:
d [Å]  I_rel
2.997  12
2.981  14
2.952  100
2.879  17
2.869  16
2.858  16
1.704  14
1.476  14